[1]
The following is a theoretical PXRD pattern of Li6Ti2O7. It was derived from a cell relaxed with GGA-PBE, using copper Kα.

The 10 most intense peaks (5° ≤ 2θ ≤ 70°), low angle first:
- 2θ = 14.99°, I 40
- 2θ = 20.01°, I 52
- 2θ = 20.70°, I 19
- 2θ = 22.82°, I 100
- 2θ = 22.97°, I 59
- 2θ = 23.08°, I 32
- 2θ = 24.77°, I 64
- 2θ = 28.83°, I 22
- 2θ = 35.17°, I 42
- 2θ = 36.64°, I 20

Cell and atoms:
Cell lengths 5.105, 8.983, 15.690 Å; angles 90.00, 90.36, 90.00 degrees
Space group P2_1 (No. 4)
Asymmetric unit:
Li 0.143 0.063 0.179 [2 per cell]
Li 0.167 0.753 0.584 [2 per cell]
Li 0.171 0.051 0.926 [2 per cell]
Li 0.188 0.219 0.061 [2 per cell]
Li 0.189 0.256 0.306 [2 per cell]
Li 0.193 0.804 0.076 [2 per cell]
Li 0.228 0.288 0.823 [2 per cell]
Li 0.236 0.500 0.656 [2 per cell]
Li 0.241 0.060 0.702 [2 per cell]
Li 0.252 0.495 0.179 [2 per cell]
Li 0.253 0.012 0.452 [2 per cell]
Li 0.262 0.237 0.553 [2 per cell]
Ti 0.260 0.501 0.439 [2 per cell]
Ti 0.280 0.774 0.300 [2 per cell]
Ti 0.295 0.771 0.803 [2 per cell]
Ti 0.316 0.508 0.966 [2 per cell]
O 0.053 0.885 0.236 [2 per cell]
O 0.085 0.623 0.356 [2 per cell]
O 0.123 0.551 0.541 [2 per cell]
O 0.157 0.646 0.889 [2 per cell]
O 0.158 0.954 0.813 [2 per cell]
O 0.180 0.697 0.703 [2 per cell]
O 0.198 0.317 0.948 [2 per cell]
O 0.209 0.301 0.426 [2 per cell]
O 0.218 0.580 0.067 [2 per cell]
O 0.327 0.009 0.044 [2 per cell]
O 0.344 0.268 0.193 [2 per cell]
O 0.391 0.032 0.569 [2 per cell]
O 0.462 0.882 0.379 [2 per cell]
O 0.496 0.181 0.768 [2 per cell]


[2]
The following is a theoretical PXRD pattern of Li2TiO3. It was derived from a cell relaxed with GGA-PBE, using copper Kα.

The 10 most intense peaks (5° ≤ 2θ ≤ 70°), low angle first:
- 2θ = 18.33°, I 100
- 2θ = 20.34°, I 30
- 2θ = 22.08°, I 22
- 2θ = 25.28°, I 15
- 2θ = 35.68°, I 22
- 2θ = 43.27°, I 83
- 2θ = 43.46°, I 41
- 2θ = 62.71°, I 12
- 2θ = 62.89°, I 21
- 2θ = 63.12°, I 21

Cell and atoms:
Cell lengths 5.100, 8.853, 9.835 Å; angles 90.00, 100.21, 90.00 degrees
Space group C2/c (No. 15)
Asymmetric unit:
Li 0.000 0.084 0.250 [4 per cell]
Li 0.240 0.080 0.000 [8 per cell]
Li 0.250 0.250 0.500 [4 per cell]
Ti 0.000 0.250 0.750 [4 per cell]
Ti 0.000 0.417 0.250 [4 per cell]
O 0.105 0.416 0.637 [8 per cell]
O 0.139 0.094 0.634 [8 per cell]
O 0.141 0.264 0.137 [8 per cell]


[3]
The following is a theoretical PXRD pattern of LiTi3O6. It was derived from a cell relaxed with GGA-PBE, using copper Kα.

The 10 most intense peaks (5° ≤ 2θ ≤ 70°), low angle first:
- 2θ = 24.49°, I 100
- 2θ = 36.98°, I 8
- 2θ = 37.61°, I 8
- 2θ = 38.96°, I 24
- 2θ = 45.92°, I 37
- 2θ = 52.73°, I 20
- 2θ = 54.80°, I 16
- 2θ = 61.76°, I 20
- 2θ = 66.89°, I 5
- 2θ = 69.67°, I 5

Cell and atoms:
Cell lengths 5.595, 9.247, 16.750 Å; angles 90.00, 90.00, 90.00 degrees
Space group Fddd (No. 70, origin choice 2)
Asymmetric unit:
Li 0.125 0.125 0.125 [8 per cell]
Ti 0.125 0.125 0.294 [16 per cell]
Ti 0.125 0.125 0.625 [8 per cell]
O 0.118 0.340 0.294 [32 per cell]
O 0.125 0.343 0.625 [16 per cell]


[4]
The following is a theoretical PXRD pattern of Li7Ti7O16. It was derived from a cell relaxed with GGA-PBE, using copper Kα.

The 10 most intense peaks (5° ≤ 2θ ≤ 70°), low angle first:
- 2θ = 18.12°, I 62
- 2θ = 18.28°, I 71
- 2θ = 35.18°, I 9
- 2θ = 35.41°, I 45
- 2θ = 42.95°, I 100
- 2θ = 56.62°, I 10
- 2θ = 56.81°, I 8
- 2θ = 62.12°, I 28
- 2θ = 62.60°, I 28
- 2θ = 65.77°, I 11

Cell and atoms:
Cell lengths 5.9356, 5.9356, 29.3809 Å; angles 90.00, 90.00, 120.00 degrees
Space group R3m (No. 160, hexagonal axes)
Asymmetric unit:
Li 0.0000 0.0000 0.0000 [3 per cell]
Li 0.0000 0.0000 0.0827 [3 per cell]
Li 0.0000 0.0000 0.2651 [3 per cell]
Li 0.0000 0.0000 0.4556 [3 per cell]
Li 0.0215 0.5108 0.2610 [9 per cell]
Ti 0.0000 0.0000 0.7662 [3 per cell]
Ti 0.0071 0.5035 0.0145 [9 per cell]
Ti 0.1707 0.3414 0.8500 [9 per cell]
O 0.0000 0.0000 0.1469 [3 per cell]
O 0.0000 0.0000 0.3844 [3 per cell]
O 0.0000 0.0000 0.6429 [3 per cell]
O 0.0000 0.0000 0.8873 [3 per cell]
O 0.0213 0.5106 0.8869 [9 per cell]
O 0.0286 0.5143 0.3875 [9 per cell]
O 0.1751 0.3502 0.9770 [9 per cell]
O 0.1851 0.3702 0.4754 [9 per cell]


[5]
The following is a theoretical PXRD pattern of Li7Ti16O32. It was derived from a cell relaxed with GGA-PBE, using copper Kα.

The 10 most intense peaks (5° ≤ 2θ ≤ 70°), low angle first:
- 2θ = 19.69°, I 100
- 2θ = 32.69°, I 40
- 2θ = 35.47°, I 18
- 2θ = 36.29°, I 33
- 2θ = 39.78°, I 21
- 2θ = 50.90°, I 35
- 2θ = 51.96°, I 18
- 2θ = 59.60°, I 17
- 2θ = 64.00°, I 12
- 2θ = 65.51°, I 11

Cell and atoms:
Cell lengths 19.506, 11.845, 5.086 Å; angles 90.00, 90.08, 90.00 degrees
Space group Cm (No. 8)
Asymmetric unit:
Li 0.000 0.000 0.000 [2 per cell]
Li 0.218 0.125 0.508 [4 per cell]
Li 0.220 0.374 0.507 [4 per cell]
Li 0.467 0.132 0.133 [4 per cell]
Ti 0.052 0.131 0.541 [4 per cell]
Ti 0.054 0.379 0.561 [4 per cell]
Ti 0.163 0.000 0.041 [2 per cell]
Ti 0.163 0.251 0.049 [4 per cell]
Ti 0.165 0.500 0.056 [2 per cell]
Ti 0.305 0.125 0.090 [4 per cell]
Ti 0.306 0.375 0.079 [4 per cell]
Ti 0.412 0.000 0.592 [2 per cell]
Ti 0.412 0.500 0.572 [2 per cell]
Ti 0.415 0.257 0.598 [4 per cell]
O 0.003 0.252 0.370 [4 per cell]
O 0.003 0.500 0.356 [2 per cell]
O 0.004 0.000 0.368 [2 per cell]
O 0.090 0.000 0.781 [2 per cell]
O 0.096 0.248 0.767 [4 per cell]
O 0.097 0.500 0.778 [2 per cell]
O 0.128 0.123 0.284 [4 per cell]
O 0.128 0.374 0.289 [4 per cell]
O 0.217 0.124 0.875 [4 per cell]
O 0.218 0.374 0.875 [4 per cell]
O 0.252 0.249 0.279 [4 per cell]
O 0.252 0.500 0.279 [2 per cell]
O 0.253 0.000 0.283 [2 per cell]
O 0.345 0.000 0.870 [2 per cell]
O 0.346 0.247 0.873 [4 per cell]
O 0.347 0.500 0.869 [2 per cell]
O 0.372 0.372 0.371 [4 per cell]
O 0.379 0.125 0.361 [4 per cell]
O 0.466 0.123 0.766 [4 per cell]
O 0.467 0.378 0.767 [4 per cell]